# Sr3B6H2O13
Computed X-ray powder pattern, Cu Ka. Input: DFT lattice parameters and positions (GGA-PBE).
Neutral-atom scattering factors, no anomalous dispersion.

The 10 most intense peaks (2θ = 10–90°), most intense first:
2θ/deg, intensity, (hkl)
29.83, 100, -2 1 1
32.13, 94, 2 1 1
30.52, 91, 0 2 -2
30.97, 88, 0 2 2
31.19, 82, 0 0 4
19.65, 78, 1 0 -2
21.20, 78, 1 0 2
26.40, 70, 0 2 0
20.10, 66, 1 -1 1
27.00, 61, 0 1 3

Atomic structure:
```
data_Sr3B6H2O13
_symmetry_space_group_name_H-M 'P -1'
_symmetry_Int_Tables_number 2
_symmetry_space_group_name_Hall '-P 1'
_cell_length_a 6.687
_cell_length_b 6.763
_cell_length_c 11.504
_cell_angle_alpha 90.76
_cell_angle_beta 94.33
_cell_angle_gamma 93.01
loop_
_atom_site_label
_atom_site_type_symbol
_atom_site_fract_x
_atom_site_fract_y
_atom_site_fract_z
_atom_site_occupancy
Sr1 Sr 0.067 0.375 0.265 1
Sr2 Sr 0.319 0.237 0.971 1
Sr3 Sr 0.373 0.726 0.478 1
B1 B 0.052 0.855 0.277 1
B2 B 0.117 0.781 0.066 1
B3 B 0.177 0.237 0.560 1
B4 B 0.266 0.968 0.702 1
B5 B 0.380 0.979 0.202 1
B6 B 0.461 0.665 0.772 1
H1 H 0.258 0.662 0.906 1
H2 H 0.481 0.365 0.743 1
O1 O 0.012 0.275 0.625 1
O2 O 0.013 0.730 0.165 1
O3 O 0.038 0.726 0.959 1
O4 O 0.061 0.971 0.732 1
O5 O 0.242 0.363 0.479 1
O6 O 0.268 0.898 0.296 1
O7 O 0.285 0.065 0.584 1
O8 O 0.300 0.894 0.083 1
O9 O 0.312 0.756 0.691 1
O10 O 0.366 0.198 0.195 1
O11 O 0.374 0.588 0.881 1
O12 O 0.409 0.075 0.787 1
O13 O 0.459 0.511 0.286 1
```